For Pr2Nd2Bi5, a DFT-relaxed cell (PBE, Alexandria) gives the simulated powder XRD pattern in this record (Cu Kα (weighted mean of Kα1 and Kα2)).

Structural model:
```
Pr2Nd2Bi5
1.0
8.2444 -4.2431 0.0000
8.2444 4.2431 0.0000
0.0000 0.0000 8.6616
Pr Nd Bi
4 4 10
Cartesian
8.2444 2.9108 7.2696
8.2444 1.3323 2.9388
8.2444 -1.3323 5.7228
8.2444 -2.9108 1.3920
3.1564 0.0000 4.3308
5.0881 0.0000 0.0000
11.4008 0.0000 0.0000
13.3325 0.0000 4.3308
0.0000 0.0000 4.3308
5.9096 2.9846 1.2828
5.9096 1.2585 5.6136
10.5792 2.9846 1.2828
10.5792 1.2585 5.6136
8.2444 0.0000 0.0000
5.9096 -1.2585 3.0480
5.9096 -2.9846 7.3788
10.5792 -1.2585 3.0480
10.5792 -2.9846 7.3788
```

Top 6 peaks for 2θ = 10–80°, in order of rising 2θ:
- 28.26 deg, I = 100
- 30.87 deg, I = 30
- 31.99 deg, I = 77
- 32.58 deg, I = 38
- 33.22 deg, I = 63
- 33.77 deg, I = 59